Record 1
Computed powder XRD pattern
Compound: ScCdInAg
Radiation: a wavelength of 1.5418 Å
Structure: the PBE geometry in Alexandria
Lines closer than 0.1° are merged.

Top 10 peaks for 2θ = 10–90°, low angle first:
2θ 22.21, I 12
2θ 36.43, I 51
2θ 36.78, I 100
2θ 52.47, I 17
2θ 53.51, I 8
2θ 65.78, I 34
2θ 66.47, I 16
2θ 78.24, I 10
2θ 88.68, I 8
2θ 88.89, I 8

Atomic structure:
```
data_ScCdInAg
_cell_length_a 4.933
_cell_length_b 4.933
_cell_length_c 6.850
_cell_angle_alpha 90.00
_cell_angle_beta 90.00
_cell_angle_gamma 90.00
_space_group_name_H-M_alt 'P 1'
_space_group_IT_number 1
loop_
_space_group_symop_operation_xyz
'x,y,z'
loop_
_atom_site_label
_atom_site_type_symbol
_atom_site_fract_x
_atom_site_fract_y
_atom_site_fract_z
Sc1 Sc 0.000 0.000 0.000
Sc2 Sc 0.500 0.500 0.500
Cd1 Cd 0.000 0.000 0.500
Cd2 Cd 0.500 0.500 0.000
In1 In 0.000 0.500 0.750
In2 In 0.500 0.000 0.250
Ag1 Ag 0.000 0.500 0.250
Ag2 Ag 0.500 0.000 0.750
```

---

Record 2
Computed powder XRD pattern
Compound: SrCdIn2Ag2
Radiation: a wavelength of 1.5418 Å
Structure: the PBE geometry in Alexandria
Lines closer than 0.1° are merged.

Top 10 peaks for 2θ = 10–90°, low angle first:
2θ 11.89, I 25
2θ 32.16, I 100
2θ 37.12, I 92
2θ 42.33, I 14
2θ 49.91, I 28
2θ 52.83, I 12
2θ 63.01, I 12
2θ 63.80, I 26
2θ 66.90, I 15
2θ 87.92, I 11

Atomic structure:
```
data_SrCdIn2Ag2
_cell_length_a 4.845
_cell_length_b 4.845
_cell_length_c 7.440
_cell_angle_alpha 90.00
_cell_angle_beta 90.00
_cell_angle_gamma 120.00
_space_group_name_H-M_alt 'P 1'
_space_group_IT_number 1
loop_
_space_group_symop_operation_xyz
'x,y,z'
loop_
_atom_site_label
_atom_site_type_symbol
_atom_site_fract_x
_atom_site_fract_y
_atom_site_fract_z
Sr1 Sr 0.000 0.000 0.000
Cd1 Cd 0.000 0.000 0.500
In1 In 0.333 0.667 0.273
In2 In 0.667 0.333 0.727
Ag1 Ag 0.333 0.667 0.683
Ag2 Ag 0.667 0.333 0.317
```

---

Record 3
Computed powder XRD pattern
Compound: Sr2Cd6InAg
Radiation: a wavelength of 1.5418 Å
Structure: the PBE geometry in Alexandria
Lines closer than 0.1° are merged.

Top 10 peaks for 2θ = 10–90°, low angle first:
2θ 14.00, I 29
2θ 24.60, I 31
2θ 29.55, I 34
2θ 30.87, I 60
2θ 33.01, I 100
2θ 33.87, I 43
2θ 38.29, I 64
2θ 39.20, I 30
2θ 48.64, I 32
2θ 50.44, I 43

Atomic structure:
```
data_Sr2Cd6InAg
_cell_length_a 13.326
_cell_length_b 13.326
_cell_length_c 13.326
_cell_angle_alpha 31.51
_cell_angle_beta 31.51
_cell_angle_gamma 31.51
_space_group_name_H-M_alt 'P 1'
_space_group_IT_number 1
loop_
_space_group_symop_operation_xyz
'x,y,z'
loop_
_atom_site_label
_atom_site_type_symbol
_atom_site_fract_x
_atom_site_fract_y
_atom_site_fract_z
Sr1 Sr 0.106 0.106 0.106
Sr2 Sr 0.279 0.279 0.279
Sr3 Sr 0.721 0.721 0.721
Sr4 Sr 0.894 0.894 0.894
Cd1 Cd 0.070 0.671 0.671
Cd2 Cd 0.225 0.225 0.637
Cd3 Cd 0.225 0.637 0.225
Cd4 Cd 0.329 0.329 0.930
Cd5 Cd 0.329 0.930 0.329
Cd6 Cd 0.363 0.775 0.775
Cd7 Cd 0.637 0.225 0.225
Cd8 Cd 0.671 0.070 0.671
Cd9 Cd 0.671 0.671 0.070
Cd10 Cd 0.775 0.363 0.775
Cd11 Cd 0.775 0.775 0.363
Cd12 Cd 0.930 0.329 0.329
In1 In 0.425 0.425 0.425
In2 In 0.575 0.575 0.575
Ag1 Ag 0.000 0.000 0.000
Ag2 Ag 0.500 0.500 0.500
```

---

Record 4
Computed powder XRD pattern
Compound: Cd2In3Ag3Te8
Radiation: a wavelength of 1.5418 Å
Structure: the PBE geometry in Alexandria
Lines closer than 0.1° are merged.

Top 10 peaks for 2θ = 10–90°, low angle first:
2θ 23.50, I 100
2θ 38.72, I 27
2θ 38.92, I 53
2θ 45.79, I 33
2θ 46.14, I 16
2θ 55.91, I 9
2θ 61.76, I 13
2θ 70.21, I 18
2θ 70.61, I 9
2θ 75.07, I 7

Atomic structure:
```
data_Cd2In3Ag3Te8
_cell_length_a 6.578
_cell_length_b 6.578
_cell_length_c 13.028
_cell_angle_alpha 90.00
_cell_angle_beta 90.00
_cell_angle_gamma 90.00
_space_group_name_H-M_alt 'P 1'
_space_group_IT_number 1
loop_
_space_group_symop_operation_xyz
'x,y,z'
loop_
_atom_site_label
_atom_site_type_symbol
_atom_site_fract_x
_atom_site_fract_y
_atom_site_fract_z
Cd1 Cd 0.000 0.000 0.000
Cd2 Cd 0.500 0.500 0.000
In1 In 0.000 0.000 0.500
In2 In 0.000 0.500 0.748
In3 In 0.500 0.000 0.252
Ag1 Ag 0.000 0.500 0.252
Ag2 Ag 0.500 0.000 0.748
Ag3 Ag 0.500 0.500 0.500
Te1 Te 0.249 0.253 0.128
Te2 Te 0.251 0.744 0.376
Te3 Te 0.253 0.751 0.872
Te4 Te 0.256 0.251 0.624
Te5 Te 0.744 0.749 0.624
Te6 Te 0.747 0.249 0.872
Te7 Te 0.749 0.256 0.376
Te8 Te 0.751 0.747 0.128
```

---

Record 5
Computed powder XRD pattern
Compound: CdInAgTe3
Radiation: a wavelength of 1.5418 Å
Structure: the PBE geometry in Alexandria
Lines closer than 0.1° are merged.

Top 10 peaks for 2θ = 10–90°, low angle first:
2θ 23.46, I 100
2θ 38.76, I 66
2θ 38.88, I 13
2θ 45.79, I 32
2θ 45.90, I 16
2θ 56.07, I 9
2θ 61.52, I 16
2θ 70.15, I 17
2θ 70.33, I 9
2θ 75.24, I 7

Atomic structure:
```
data_CdInAgTe3
_cell_length_a 15.375
_cell_length_b 4.646
_cell_length_c 6.580
_cell_angle_alpha 90.00
_cell_angle_beta 115.32
_cell_angle_gamma 90.00
_space_group_name_H-M_alt 'P 1'
_space_group_IT_number 1
loop_
_space_group_symop_operation_xyz
'x,y,z'
loop_
_atom_site_label
_atom_site_type_symbol
_atom_site_fract_x
_atom_site_fract_y
_atom_site_fract_z
Cd1 Cd 0.000 0.000 0.000
Cd2 Cd 0.500 0.500 0.000
In1 In 0.171 0.500 0.658
In2 In 0.671 0.000 0.658
Ag1 Ag 0.335 0.000 0.345
Ag2 Ag 0.835 0.500 0.345
Te1 Te 0.172 0.000 0.923
Te2 Te 0.336 0.500 0.579
Te3 Te 0.499 0.000 0.254
Te4 Te 0.672 0.500 0.923
Te5 Te 0.836 0.000 0.579
Te6 Te 0.999 0.500 0.254
```

---

Record 6
Computed powder XRD pattern
Compound: Th3Cd4In2Ag2
Radiation: a wavelength of 1.5418 Å
Structure: the PBE geometry in Alexandria
Lines closer than 0.1° are merged.

Top 10 peaks for 2θ = 10–90°, low angle first:
2θ 25.40, I 35
2θ 28.70, I 30
2θ 31.29, I 100
2θ 34.27, I 24
2θ 34.48, I 74
2θ 38.10, I 35
2θ 41.04, I 66
2θ 54.64, I 40
2θ 59.43, I 22
2θ 68.70, I 21

Atomic structure:
```
data_Th3Cd4In2Ag2
_cell_length_a 14.847
_cell_length_b 14.847
_cell_length_c 14.847
_cell_angle_alpha 162.96
_cell_angle_beta 162.96
_cell_angle_gamma 24.19
_space_group_name_H-M_alt 'P 1'
_space_group_IT_number 1
loop_
_space_group_symop_operation_xyz
'x,y,z'
loop_
_atom_site_label
_atom_site_type_symbol
_atom_site_fract_x
_atom_site_fract_y
_atom_site_fract_z
Th1 Th 0.000 0.000 0.000
Th2 Th 0.210 0.210 0.000
Th3 Th 0.790 0.790 0.000
Cd1 Cd 0.114 0.614 0.500
Cd2 Cd 0.386 0.886 0.500
Cd3 Cd 0.614 0.114 0.500
Cd4 Cd 0.886 0.386 0.500
In1 In 0.452 0.452 0.000
In2 In 0.548 0.548 0.000
Ag1 Ag 0.319 0.319 0.000
Ag2 Ag 0.681 0.681 0.000
```